Calculated powder diffraction line list
Compound: LaSiGeOs
Radiation: Cu Kα (λ = 1.5418 Å)
Structure: a GGA-PBE-relaxed structure

Main lines, by angle (2θ from 10° to 80°):
8.297 Å, 2θ 10.66, I = 45
3.069 Å, 2θ 29.10, I = 60
3.032 Å, 2θ 29.46, I = 100
2.973 Å, 2θ 30.06, I = 43
2.743 Å, 2θ 32.64, I = 84
2.616 Å, 2θ 34.28, I = 49
2.320 Å, 2θ 38.81, I = 77
2.132 Å, 2θ 42.41, I = 48

Structural model:
abc: 4.531 4.263 8.503
angles: 90.00 102.64 90.00
Element x y z (fractional)
La 0.100 0.250 0.208
La 0.900 0.750 0.792
Si 0.170 0.750 0.498
Si 0.830 0.250 0.502
Ge 0.453 0.250 0.903
Ge 0.547 0.750 0.097
Os 0.379 0.250 0.606
Os 0.621 0.750 0.394

=====

Calculated powder diffraction line list
Compound: La2PrGe4Pd4
Radiation: Cu Kα (λ = 1.5418 Å)
Structure: a GGA-PBE-relaxed structure

Main lines, by angle (2θ from 10° to 80°):
2.747 Å, 2θ 32.60, I = 100
2.383 Å, 2θ 37.75, I = 13
2.203 Å, 2θ 40.96, I = 24
2.100 Å, 2θ 43.07, I = 18
2.051 Å, 2θ 44.15, I = 15
1.720 Å, 2θ 53.25, I = 14
1.520 Å, 2θ 60.94, I = 13
1.468 Å, 2θ 63.38, I = 10

Structural model:
abc: 13.107 13.107 13.107
angles: 161.56 160.64 26.86
Element x y z (fractional)
La 0.148 0.148 0.000
La 0.852 0.852 0.000
Pr 0.500 0.000 0.500
Ge 0.049 0.549 0.500
Ge 0.304 0.304 0.000
Ge 0.696 0.696 0.000
Ge 0.951 0.451 0.500
Pd 0.250 0.750 0.500
Pd 0.404 0.404 0.000
Pd 0.596 0.596 0.000
Pd 0.750 0.250 0.500

=====

Calculated powder diffraction line list
Compound: La2PrSi2Ge2Pd4
Radiation: Cu Kα (λ = 1.5418 Å)
Structure: a GGA-PBE-relaxed structure

Main lines, by angle (2θ from 10° to 80°):
2.743 Å, 2θ 32.65, I = 39
2.731 Å, 2θ 32.80, I = 100
2.166 Å, 2θ 41.71, I = 26
2.122 Å, 2θ 42.61, I = 24
2.023 Å, 2θ 44.81, I = 19
1.700 Å, 2θ 53.95, I = 19
1.516 Å, 2θ 61.15, I = 17
1.315 Å, 2θ 71.76, I = 14

Structural model:
abc: 12.941 12.941 12.941
angles: 161.12 160.73 27.10
Element x y z (fractional)
La 0.146 0.146 0.000
La 0.854 0.854 0.000
Pr 0.500 0.000 0.500
Si 0.048 0.548 0.500
Si 0.952 0.452 0.500
Ge 0.305 0.305 0.000
Ge 0.695 0.695 0.000
Pd 0.250 0.750 0.500
Pd 0.406 0.406 0.000
Pd 0.594 0.594 0.000
Pd 0.750 0.250 0.500

=====

Calculated powder diffraction line list
Compound: La2PrZn2Ge4Pd2
Radiation: Cu Kα (λ = 1.5418 Å)
Structure: a GGA-PBE-relaxed structure

Main lines, by angle (2θ from 10° to 80°):
2.773 Å, 2θ 32.29, I = 47
2.735 Å, 2θ 32.75, I = 100
2.182 Å, 2θ 41.39, I = 30
2.086 Å, 2θ 43.38, I = 26
2.077 Å, 2θ 43.58, I = 30
1.714 Å, 2θ 53.44, I = 23
1.508 Å, 2θ 61.51, I = 18
1.472 Å, 2θ 63.18, I = 20

Structural model:
abc: 13.334 13.334 13.334
angles: 162.00 161.17 26.17
Element x y z (fractional)
La 0.146 0.146 0.000
La 0.854 0.854 0.000
Pr 0.500 0.000 0.500
Zn 0.250 0.750 0.500
Zn 0.750 0.250 0.500
Ge 0.048 0.548 0.500
Ge 0.308 0.308 0.000
Ge 0.692 0.692 0.000
Ge 0.952 0.452 0.500
Pd 0.405 0.405 0.000
Pd 0.595 0.595 0.000